Diffraction record for Tb2Sm3Zn2. The powder XRD pattern is simulated, not measured: it uses a PBE-relaxed structure and Cu Ka.
Neutral-atom scattering factors, no anomalous dispersion.

Peak list (6 most intense, 2θ = 10–80°, sorted by position)
| 2θ (°) | Rel. int. |
| --- | --- |
| 29.25 | 27 |
| 30.51 | 39 |
| 32.06 | 100 |
| 34.33 | 44 |
| 35.30 | 86 |
| 61.50 | 31 |

Unit cell a=15.3740 b=15.3740 c=3.5831 alpha=90.00 beta=90.00 gamma=166.42
Sites, in units of the cell vectors:
Tb 0.2011 0.7989 0.0000
Tb 0.7989 0.2011 0.0000
Sm 0.0859 0.9141 0.0000
Sm 0.5000 0.5000 0.5000
Sm 0.9141 0.0859 0.0000
Zn 0.3542 0.6458 0.5000
Zn 0.6458 0.3542 0.5000


Diffraction record for Tb2Sm3Zn2. The powder XRD pattern is simulated, not measured: it uses a PBE-relaxed structure and Cu Ka.
Neutral-atom scattering factors, no anomalous dispersion.

Peak list (6 most intense, 2θ = 10–80°, sorted by position)
| 2θ (°) | Rel. int. |
| --- | --- |
| 29.11 | 44 |
| 30.88 | 70 |
| 31.47 | 68 |
| 31.72 | 100 |
| 33.63 | 47 |
| 55.60 | 44 |

Unit cell a=6.7274 b=6.7274 c=9.2115 alpha=114.71 beta=114.71 gamma=32.22
Sites, in units of the cell vectors:
Tb 0.1515 0.1515 0.3144
Tb 0.8485 0.8485 0.6856
Sm 0.3904 0.3904 0.0608
Sm 0.5000 0.5000 0.5000
Sm 0.6096 0.6096 0.9392
Zn 0.1793 0.1793 0.7247
Zn 0.8207 0.8207 0.2753


Diffraction record for TbSm3Zn4. The powder XRD pattern is simulated, not measured: it uses a PBE-relaxed structure and Cu Ka.
Neutral-atom scattering factors, no anomalous dispersion.

Peak list (6 most intense, 2θ = 10–80°, sorted by position)
| 2θ (°) | Rel. int. |
| --- | --- |
| 24.56 | 16 |
| 35.00 | 100 |
| 50.34 | 18 |
| 56.79 | 7 |
| 62.77 | 27 |
| 62.83 | 9 |

Unit cell a=8.8890 b=8.8890 c=8.8890 alpha=33.50 beta=33.50 gamma=33.50
Sites, in units of the cell vectors:
Tb 0.0000 0.0000 0.0000
Sm 0.2507 0.2507 0.2507
Sm 0.5000 0.5000 0.5000
Sm 0.7493 0.7493 0.7493
Zn 0.1241 0.1241 0.1241
Zn 0.3741 0.3741 0.3741
Zn 0.6259 0.6259 0.6259
Zn 0.8759 0.8759 0.8759


Diffraction record for TbSm2Zr. The powder XRD pattern is simulated, not measured: it uses a PBE-relaxed structure and Cu Ka.
Neutral-atom scattering factors, no anomalous dispersion.

Peak list (6 most intense, 2θ = 10–80°, sorted by position)
| 2θ (°) | Rel. int. |
| --- | --- |
| 31.47 | 100 |
| 36.43 | 34 |
| 36.65 | 17 |
| 52.63 | 23 |
| 62.48 | 28 |
| 62.77 | 14 |

Unit cell a=4.9330 b=4.9330 c=4.9041 alpha=90.00 beta=90.00 gamma=90.00
Sites, in units of the cell vectors:
Tb 0.0000 0.0000 0.0000
Sm 0.0000 0.5000 0.5000
Sm 0.5000 0.0000 0.5000
Zr 0.5000 0.5000 0.0000


Diffraction record for Tb5Sm8Zr. The powder XRD pattern is simulated, not measured: it uses a PBE-relaxed structure and Cu Ka.
Neutral-atom scattering factors, no anomalous dispersion.

Peak list (6 most intense, 2θ = 10–80°, sorted by position)
| 2θ (°) | Rel. int. |
| --- | --- |
| 30.14 | 41 |
| 30.27 | 63 |
| 31.51 | 68 |
| 31.89 | 67 |
| 32.60 | 100 |
| 33.28 | 50 |

Unit cell a=8.7080 b=8.7080 c=8.5401 alpha=116.41 beta=116.41 gamma=56.57
Sites, in units of the cell vectors:
Tb 0.0000 0.0000 0.0000
Tb 0.3071 0.5925 0.7194
Tb 0.4075 0.6929 0.2806
Tb 0.5595 0.2261 0.0300
Tb 0.7739 0.4405 0.9700
Sm 0.0780 0.5533 0.9332
Sm 0.1558 0.0878 0.6835
Sm 0.2669 0.3820 0.2800
Sm 0.4467 0.9220 0.0668
Sm 0.5680 0.0634 0.5720
Sm 0.6180 0.7331 0.7200
Sm 0.9122 0.8442 0.3165
Sm 0.9366 0.4320 0.4280
Zr 0.6836 0.3164 0.5000


Diffraction record for Tb12Sm2Zr. The powder XRD pattern is simulated, not measured: it uses a PBE-relaxed structure and Cu Ka.
Neutral-atom scattering factors, no anomalous dispersion.

Peak list (6 most intense, 2θ = 10–80°, sorted by position)
| 2θ (°) | Rel. int. |
| --- | --- |
| 30.57 | 45 |
| 31.03 | 25 |
| 31.56 | 86 |
| 31.61 | 56 |
| 32.12 | 100 |
| 33.92 | 62 |

Unit cell a=6.6832 b=6.6832 c=24.0690 alpha=93.62 beta=93.62 gamma=116.06
Sites, in units of the cell vectors:
Tb 0.0136 0.0136 0.3810
Tb 0.0826 0.5749 0.4354
Tb 0.0971 0.6070 0.9435
Tb 0.1016 0.1016 0.9281
Tb 0.1921 0.6959 0.1739
Tb 0.2386 0.7394 0.6944
Tb 0.2606 0.7614 0.3056
Tb 0.3041 0.8079 0.8261
Tb 0.3930 0.9029 0.0565
Tb 0.4111 0.4111 0.0796
Tb 0.4251 0.9174 0.5646
Tb 0.4821 0.4821 0.6208
Tb 0.5179 0.5179 0.3792
Tb 0.5749 0.0826 0.4354
Tb 0.5889 0.5889 0.9204
Tb 0.6070 0.0971 0.9435
Tb 0.6959 0.1921 0.1739
Tb 0.7394 0.2386 0.6944
Tb 0.7614 0.2606 0.3056
Tb 0.8079 0.3041 0.8261
Tb 0.8984 0.8984 0.0719
Tb 0.9029 0.3930 0.0565
Tb 0.9174 0.4251 0.5646
Tb 0.9864 0.9864 0.6190
Sm 0.2227 0.2227 0.2334
Sm 0.2828 0.2828 0.7655
Sm 0.7172 0.7172 0.2345
Sm 0.7773 0.7773 0.7666
Zr 0.2310 0.2310 0.5033
Zr 0.7690 0.7690 0.4967